For SrAc8Rh4, a GGA-PBE-relaxed structure gives the calculated powder diffraction line list in this record (CuKα).
Intensities are scaled so that the largest is 100.

Largest 10 diffraction maxima, by angle, 2θ = 10–90°:
two_theta, intensity
25.32, 49
26.38, 100
26.87, 41
27.54, 95
28.55, 40
31.11, 25
37.35, 45
41.22, 34
42.70, 60
49.92, 29

Structural model:
```
SrAc8Rh4
1.0
10.603 -2.190 0.000
10.603 2.190 0.000
-9.533 0.000 10.834
Sr Ac Rh
1 8 4
direct
0.000 0.000 0.000
0.041 0.041 0.735
0.293 0.293 0.931
0.334 0.334 0.656
0.364 0.364 0.406
0.636 0.636 0.594
0.666 0.666 0.344
0.707 0.707 0.069
0.959 0.959 0.265
0.146 0.146 0.463
0.335 0.335 0.175
0.665 0.665 0.825
0.854 0.854 0.537
```

For SrAc4Rh, a GGA-PBE-relaxed structure gives the calculated powder diffraction line list in this record (CuKα).
Intensities are scaled so that the largest is 100.

Largest 10 diffraction maxima, by angle, 2θ = 10–90°:
two_theta, intensity
11.95, 37
24.03, 42
25.97, 80
27.29, 58
27.91, 77
29.32, 100
29.67, 62
35.87, 36
45.51, 31
52.52, 42

Structural model:
```
SrAc4Rh
1.0
9.698 -4.050 0.000
9.698 4.050 0.000
-2.257 0.000 6.482
Sr Ac Rh
2 8 2
direct
0.196 0.196 0.188
0.804 0.804 0.812
0.143 0.639 0.382
0.253 0.747 0.000
0.320 0.320 0.804
0.361 0.857 0.618
0.639 0.143 0.382
0.680 0.680 0.196
0.747 0.253 0.000
0.857 0.361 0.618
0.471 0.471 0.674
0.529 0.529 0.326
```

For SrAc2TlRh, a GGA-PBE-relaxed structure gives the calculated powder diffraction line list in this record (CuKα).
Intensities are scaled so that the largest is 100.

Largest 10 diffraction maxima, by angle, 2θ = 10–90°:
two_theta, intensity
15.18, 16
21.76, 20
26.83, 100
30.63, 32
31.30, 61
44.36, 47
44.85, 23
52.18, 17
53.04, 32
55.29, 25

Structural model:
```
SrAc2TlRh
1.0
5.715 0.000 0.000
0.000 5.715 0.000
0.000 0.000 5.837
Sr Ac Tl Rh
1 2 1 1
direct
0.000 0.000 0.000
0.000 0.500 0.500
0.500 0.000 0.500
0.500 0.500 0.005
0.000 0.000 0.500
```

For Ac3TbRh8, a GGA-PBE-relaxed structure gives the calculated powder diffraction line list in this record (CuKα).
Intensities are scaled so that the largest is 100.

Largest 10 diffraction maxima, by angle, 2θ = 10–90°:
two_theta, intensity
32.54, 69
38.34, 100
38.40, 33
40.17, 21
58.10, 20
61.93, 24
62.01, 16
68.05, 17
68.25, 17
81.08, 12

Structural model:
```
Ac3TbRh8
1.0
2.748 1.587 9.012
-2.748 1.587 9.012
0.000 -3.173 9.012
Ac Tb Rh
3 1 8
direct
0.000 0.000 0.000
0.126 0.126 0.126
0.504 0.504 0.504
0.628 0.628 0.628
0.061 0.563 0.563
0.066 0.066 0.566
0.066 0.566 0.066
0.314 0.314 0.314
0.563 0.061 0.563
0.563 0.563 0.061
0.566 0.066 0.066
0.814 0.814 0.814
```

For Ac12TbRh7, a GGA-PBE-relaxed structure gives the calculated powder diffraction line list in this record (CuKα).
Intensities are scaled so that the largest is 100.

Largest 10 diffraction maxima, by angle, 2θ = 10–90°:
two_theta, intensity
25.56, 16
25.69, 49
29.71, 100
42.43, 39
42.59, 37
50.36, 24
52.79, 20
69.83, 17
70.07, 17
77.85, 12

Structural model:
```
Ac12TbRh7
1.0
7.653 4.418 3.485
-7.653 4.418 3.485
0.000 -8.837 3.485
Ac Tb Rh
12 1 7
direct
0.051 0.346 0.127
0.127 0.051 0.346
0.187 0.721 0.576
0.279 0.424 0.813
0.346 0.127 0.051
0.424 0.813 0.279
0.576 0.187 0.721
0.654 0.873 0.949
0.721 0.576 0.187
0.813 0.279 0.424
0.873 0.949 0.654
0.949 0.654 0.873
0.500 0.500 0.500
0.000 0.000 0.000
0.155 0.384 0.473
0.384 0.473 0.155
0.473 0.155 0.384
0.527 0.845 0.616
0.616 0.527 0.845
0.845 0.616 0.527
```

For AcTb3Rh8, a GGA-PBE-relaxed structure gives the calculated powder diffraction line list in this record (CuKα).
Intensities are scaled so that the largest is 100.

Largest 10 diffraction maxima, by angle, 2θ = 10–90°:
two_theta, intensity
33.24, 48
35.94, 94
38.57, 14
39.10, 100
39.93, 77
61.16, 39
63.33, 24
66.14, 30
69.78, 27
81.07, 18

Structural model:
```
AcTb3Rh8
1.0
5.391 0.000 0.000
-2.695 4.669 0.000
0.000 0.000 8.874
Ac Tb Rh
1 3 8
direct
0.000 0.000 0.000
0.000 0.000 0.369
0.667 0.333 0.497
0.667 0.333 0.858
0.166 0.331 0.676
0.166 0.834 0.676
0.333 0.667 0.433
0.333 0.667 0.930
0.502 0.004 0.189
0.502 0.498 0.189
0.669 0.834 0.676
0.996 0.498 0.189
```